No. 1
Diffraction record for Mg14AlCu. The XRD peak list is calculated, not measured: it uses a PBE-relaxed structure and Cu Kα, 1.54184 Å.
Lines closer than 0.1° are merged.

Principal peaks in the range 10° ≤ 2θ ≤ 90°, by angle:
| 2θ (°) | I (rel.) | index |
| --- | --- | --- |
| 33.3 | 24 | 2 0 0 |
| 35.1 | 27 | 0 0 4 |
| 37.8 | 100 | 2 0 2 |
| 59.6 | 16 | 2 2 0 |
| 64.8 | 19 | 2 0 6 |
| 71.1 | 19 | 2 2 4 |

```
data_Mg14AlCu
_chemical_formula_sum 'Mg14 Al1 Cu1'
_cell_length_a 6.2069
_cell_length_b 6.2069
_cell_length_c 10.2225
_cell_angle_alpha 90.00
_cell_angle_beta 90.00
_cell_angle_gamma 120.00
_symmetry_space_group_name_H-M 'P -6 m 2'
_symmetry_Int_Tables_number 187
_symmetry_space_group_name_Hall 'P -6 2'
loop_
_atom_site_label
_atom_site_type_symbol
_atom_site_fract_x
_atom_site_fract_y
_atom_site_fract_z
Mg1 Mg 0.0000 0.0000 0.2503
Mg2 Mg 0.0076 0.5038 0.2473
Mg3 Mg 0.3314 0.1657 0.0000
Mg4 Mg 0.3324 0.1662 0.5000
Al1 Al 0.3333 0.6667 0.5000
Cu1 Cu 0.3333 0.6667 0.0000
```

=====

No. 2
Diffraction record for TbHoFe4. The XRD peak list is calculated, not measured: it uses a PBE-relaxed structure and Cu Kα, 1.54184 Å.
Lines closer than 0.1° are merged.

Principal peaks in the range 10° ≤ 2θ ≤ 90°, by angle:
| 2θ (°) | I (rel.) | index |
| --- | --- | --- |
| 21.1 | 17 | 1 1 1 |
| 34.8 | 68 | 2 2 0 |
| 41.1 | 100 | 3 1 1 |
| 62.4 | 25 | 4 2 2 |
| 66.7 | 31 | 5 1 1 |
| 73.5 | 22 | 4 4 0 |

```
data_TbHoFe4
_chemical_formula_sum 'Tb4 Ho4 Fe16'
_cell_length_a 7.286
_cell_length_b 7.286
_cell_length_c 7.286
_cell_angle_alpha 90.00
_cell_angle_beta 90.00
_cell_angle_gamma 90.00
_symmetry_space_group_name_H-M 'F -4 3 m'
_symmetry_Int_Tables_number 216
_symmetry_space_group_name_Hall 'F -4 2 3'
loop_
_atom_site_label
_atom_site_type_symbol
_atom_site_fract_x
_atom_site_fract_y
_atom_site_fract_z
Tb1 Tb 0.000 0.000 0.000
Ho1 Ho 0.250 0.250 0.750
Fe1 Fe 0.125 0.125 0.375
```

=====

No. 3
Diffraction record for Co3Bi. The XRD peak list is calculated, not measured: it uses a PBE-relaxed structure and Cu Kα, 1.54184 Å.
Lines closer than 0.1° are merged.

Principal peaks in the range 10° ≤ 2θ ≤ 90°, by angle:
| 2θ (°) | I (rel.) | index |
| --- | --- | --- |
| 25.9 | 43 | 1 0 1 |
| 40.8 | 100 | 1 1 2 |
| 47.0 | 33 | 2 0 0 |
| 48.4 | 15 | 0 0 4 |
| 69.8 | 20 | 2 0 4 |
| 83.1 | 25 | 3 1 2 |

```
data_Co3Bi
_chemical_formula_sum 'Co6 Bi2'
_cell_length_a 3.863
_cell_length_b 3.863
_cell_length_c 7.523
_cell_angle_alpha 90.00
_cell_angle_beta 90.00
_cell_angle_gamma 90.00
_symmetry_space_group_name_H-M 'I 4/m m m'
_symmetry_Int_Tables_number 139
_symmetry_space_group_name_Hall '-I 4 2'
loop_
_atom_site_label
_atom_site_type_symbol
_atom_site_fract_x
_atom_site_fract_y
_atom_site_fract_z
Co1 Co 0.000 0.000 0.000
Co2 Co 0.000 0.500 0.250
Bi1 Bi 0.000 0.000 0.500
```

=====

No. 4
Diffraction record for DyOs2. The XRD peak list is calculated, not measured: it uses a PBE-relaxed structure and Cu Kα, 1.54184 Å.
Lines closer than 0.1° are merged.

Principal peaks in the range 10° ≤ 2θ ≤ 90°, by angle:
| 2θ (°) | I (rel.) | index |
| --- | --- | --- |
| 36.2 | 70 | 1 0 3 |
| 39.5 | 100 | 1 1 2 |
| 40.4 | 95 | 2 0 1 |
| 44.3 | 27 | 2 0 2 |
| 66.7 | 37 | 2 0 5 |
| 70.6 | 30 | 2 2 0 |

```
data_DyOs2
_chemical_formula_sum 'Dy4 Os8'
_cell_length_a 5.3335
_cell_length_b 5.3335
_cell_length_c 8.8267
_cell_angle_alpha 90.00
_cell_angle_beta 90.00
_cell_angle_gamma 120.00
_symmetry_space_group_name_H-M 'P 63/m m c'
_symmetry_Int_Tables_number 194
_symmetry_space_group_name_Hall '-P 6c 2c'
loop_
_atom_site_label
_atom_site_type_symbol
_atom_site_fract_x
_atom_site_fract_y
_atom_site_fract_z
Dy1 Dy 0.3333 0.6667 0.0653
Os1 Os 0.0000 0.0000 0.0000
Os2 Os 0.1726 0.3451 0.7500
```

=====

No. 5
Diffraction record for Sr2Li3NbN4. The XRD peak list is calculated, not measured: it uses a PBE-relaxed structure and Cu Kα, 1.54184 Å.
Lines closer than 0.1° are merged.

Principal peaks in the range 10° ≤ 2θ ≤ 90°, by angle:
| 2θ (°) | I (rel.) | index |
| --- | --- | --- |
| 14.1 | 34 | 1 1 0 |
| 28.4 | 37 | 2 2 0 |
| 32.2 | 100 | 0 2 2 |
| 32.6 | 67 | 2 0 2 |
| 33.9 | 39 | 1 3 1 |
| 53.3 | 39 | 4 2 2 |

```
data_Sr2Li3NbN4
_chemical_formula_sum 'Sr8 Li12 Nb4 N16'
_cell_length_a 8.748
_cell_length_b 9.034
_cell_length_c 7.056
_cell_angle_alpha 90.00
_cell_angle_beta 90.00
_cell_angle_gamma 90.00
_symmetry_space_group_name_H-M 'P n n m'
_symmetry_Int_Tables_number 58
loop_
_symmetry_equiv_pos_as_xyz
'x,y,z'
'-x,-y,-z'
'-x,-y,z'
'x,y,-z'
'x+1/2,-y+1/2,-z+1/2'
'-x+1/2,y+1/2,z+1/2'
'-x+1/2,y+1/2,-z+1/2'
'x+1/2,-y+1/2,z+1/2'
loop_
_atom_site_label
_atom_site_type_symbol
_atom_site_fract_x
_atom_site_fract_y
_atom_site_fract_z
Sr1 Sr 0.000 0.000 0.241
Sr2 Sr 0.243 0.246 0.500
Li1 Li 0.018 0.635 0.263
Li2 Li 0.205 0.578 0.500
Nb1 Nb 0.214 0.362 0.000
N1 N 0.047 0.216 0.000
N2 N 0.072 0.779 0.500
N3 N 0.198 0.481 0.235
```

=====

No. 6
Diffraction record for CsSmHgSe3. The XRD peak list is calculated, not measured: it uses a PBE-relaxed structure and Cu Kα, 1.54184 Å.
Lines closer than 0.1° are merged.

Principal peaks in the range 10° ≤ 2θ ≤ 90°, by angle:
| 2θ (°) | I (rel.) | index |
| --- | --- | --- |
| 10.8 | 93 | 0 2 0 |
| 27.3 | 100 | 1 3 1 |
| 30.6 | 54 | 1 3 2 |
| 31.6 | 46 | 0 0 4 |
| 37.8 | 35 | 1 5 2 |
| 48.3 | 34 | 1 3 5 |

```
data_CsSmHgSe3
_chemical_formula_sum 'Cs4 Sm4 Hg4 Se12'
_cell_length_a 4.371
_cell_length_b 16.408
_cell_length_c 11.313
_cell_angle_alpha 90.00
_cell_angle_beta 90.00
_cell_angle_gamma 90.00
_symmetry_space_group_name_H-M 'C m c m'
_symmetry_Int_Tables_number 63
_symmetry_space_group_name_Hall '-C 2c 2'
loop_
_atom_site_label
_atom_site_type_symbol
_atom_site_fract_x
_atom_site_fract_y
_atom_site_fract_z
Cs1 Cs 0.000 0.245 0.250
Sm1 Sm 0.000 0.500 0.000
Hg1 Hg 0.000 0.043 0.750
Se1 Se 0.000 0.120 0.545
Se2 Se 0.000 0.439 0.750
```

=====

No. 7
Diffraction record for Dy4MgIr. The XRD peak list is calculated, not measured: it uses a PBE-relaxed structure and Cu Kα, 1.54184 Å.
Lines closer than 0.1° are merged.

Principal peaks in the range 10° ≤ 2θ ≤ 90°, by angle:
| 2θ (°) | I (rel.) | index |
| --- | --- | --- |
| 11.2 | 37 | 1 1 1 |
| 28.3 | 30 | 3 3 1 |
| 31.9 | 43 | 4 2 2 |
| 33.9 | 100 | 5 1 1 |
| 37.0 | 38 | 4 4 0 |
| 56.9 | 43 | 6 6 0 |

```
data_Dy4MgIr
_chemical_formula_sum 'Dy64 Mg16 Ir16'
_cell_length_a 13.728
_cell_length_b 13.728
_cell_length_c 13.728
_cell_angle_alpha 90.00
_cell_angle_beta 90.00
_cell_angle_gamma 90.00
_symmetry_space_group_name_H-M 'F -4 3 m'
_symmetry_Int_Tables_number 216
_symmetry_space_group_name_Hall 'F -4 2 3'
loop_
_atom_site_label
_atom_site_type_symbol
_atom_site_fract_x
_atom_site_fract_y
_atom_site_fract_z
Dy1 Dy 0.000 0.000 0.186
Dy2 Dy 0.063 0.250 0.750
Dy3 Dy 0.097 0.097 0.403
Mg1 Mg 0.171 0.171 0.171
Ir1 Ir 0.108 0.108 0.608
```

=====

No. 8
Diffraction record for Ba3FeS5. The XRD peak list is calculated, not measured: it uses a PBE-relaxed structure and Cu Kα, 1.54184 Å.
Lines closer than 0.1° are merged.

Principal peaks in the range 10° ≤ 2θ ≤ 90°, by angle:
| 2θ (°) | I (rel.) | index |
| --- | --- | --- |
| 24.0 | 100 | 1 1 3 |
| 29.4 | 24 | 0 0 6 |
| 32.7 | 52 | 2 1 3 |
| 33.1 | 60 | 3 0 0 |
| 35.2 | 52 | 1 1 6 |
| 41.3 | 31 | 2 2 3 |

```
data_Ba3FeS5
_chemical_formula_sum 'Ba18 Fe6 S30'
_cell_length_a 9.3754
_cell_length_b 9.3754
_cell_length_c 18.2420
_cell_angle_alpha 90.00
_cell_angle_beta 90.00
_cell_angle_gamma 120.00
_symmetry_space_group_name_H-M 'P -6'
_symmetry_Int_Tables_number 174
loop_
_symmetry_equiv_pos_as_xyz
'x,y,z'
'-x+y,-x,-z'
'-y,x-y,z'
'x,y,-z'
'-x+y,-x,z'
'-y,x-y,-z'
loop_
_atom_site_label
_atom_site_type_symbol
_atom_site_fract_x
_atom_site_fract_y
_atom_site_fract_z
Ba1 Ba 0.0187 0.3755 0.0000
Ba2 Ba 0.0343 0.6438 0.5000
Ba3 Ba 0.3794 0.0067 0.3345
Ba4 Ba 0.3826 0.3634 0.1658
Fe1 Fe 0.0000 0.0000 0.0942
Fe2 Fe 0.0000 0.0000 0.2516
Fe3 Fe 0.0000 0.0000 0.4095
S1 S 0.0033 0.7835 0.3316
S2 S 0.0078 0.2235 0.1657
S3 S 0.2233 0.0125 0.5000
S4 S 0.2258 0.2182 0.0000
S5 S 0.3333 0.6667 0.1051
S6 S 0.3333 0.6667 0.2258
S7 S 0.3333 0.6667 0.3969
S8 S 0.6667 0.3333 0.0583
S9 S 0.6667 0.3333 0.2493
S10 S 0.6667 0.3333 0.4418
```